1.
For Li2Ac4Pd5, a structure optimized by DFT (GGA-PBE) gives the simulated powder XRD pattern in this record (CuKα).
Kinematic intensities with the Lorentz-polarization factor, no thermal factor.

Most intense lines, 2θ = 10–80°, in order of rising 2θ:
2θ (°)  Rel. int.
24.35  479
25.13  704
29.68  1000
31.83  592
32.31  933
33.16  427
33.71  991
34.11  487

Crystal structure
Unit cell a=11.3802 b=11.3802 c=11.3802 alpha=131.68 beta=58.32 gamma=149.33
Fractional positions:
Li: 0.0573 0.2500 0.8073
Li: 0.4427 0.2500 0.1927
Li: 0.5573 0.7500 0.8073
Li: 0.9427 0.7500 0.1927
Ac: 0.0581 0.2230 0.2811
Ac: 0.1596 0.6335 0.7931
Ac: 0.3404 0.1335 0.4739
Ac: 0.4419 0.7230 0.1649
Ac: 0.5581 0.2770 0.8351
Ac: 0.6596 0.8665 0.5261
Ac: 0.8404 0.3665 0.2069
Ac: 0.9419 0.7770 0.7189
Pd: 0.0852 0.9052 0.9905
Pd: 0.2101 0.3198 0.5299
Pd: 0.2500 0.7500 0.5000
Pd: 0.2899 0.8198 0.1097
Pd: 0.4148 0.4052 0.8200
Pd: 0.5852 0.5948 0.1800
Pd: 0.7101 0.1802 0.8903
Pd: 0.7500 0.2500 0.5000
Pd: 0.7899 0.6802 0.4701
Pd: 0.9148 0.0948 0.0095

---

2.
For Nd2Th2CoRh2, a structure optimized by DFT (GGA-PBE) gives the simulated powder XRD pattern in this record (CuKα).
Kinematic intensities with the Lorentz-polarization factor, no thermal factor.

Most intense lines, 2θ = 10–80°, in order of rising 2θ:
2θ (°)  Rel. int.
25.28  332
27.39  340
28.89  1000
31.34  766
34.04  587
38.12  319
39.57  390
45.32  342

Crystal structure
Unit cell a=7.2560 b=7.2560 c=7.4377 alpha=117.67 beta=117.67 gamma=32.02
Fractional positions:
Nd: 0.0248 0.0248 0.2594
Nd: 0.9752 0.9752 0.7406
Th: 0.2864 0.2864 0.2401
Th: 0.7136 0.7136 0.7599
Co: 0.5000 0.5000 0.5000
Rh: 0.3691 0.3691 0.9395
Rh: 0.6309 0.6309 0.0605

---

3.
For Rb2Bi2Pt, a structure optimized by DFT (GGA-PBE) gives the simulated powder XRD pattern in this record (CuKα).
Kinematic intensities with the Lorentz-polarization factor, no thermal factor.

Most intense lines, 2θ = 10–80°, in order of rising 2θ:
2θ (°)  Rel. int.
14.82  856
14.95  287
25.90  297
27.82  363
29.91  392
33.62  1000
39.99  349
50.73  450

Crystal structure
Unit cell a=7.2510 b=7.2510 c=7.2510 alpha=143.22 beta=123.88 gamma=69.00
Fractional positions:
Rb: 0.2082 0.2082 0.0000
Rb: 0.7918 0.7918 0.0000
Bi: 0.2653 0.5000 0.7653
Bi: 0.7347 0.5000 0.2347
Pt: 0.5000 0.0000 0.5000

---

4.
For Dy5ErPt6, a structure optimized by DFT (GGA-PBE) gives the simulated powder XRD pattern in this record (CuKα).
Kinematic intensities with the Lorentz-polarization factor, no thermal factor.

Most intense lines, 2θ = 10–80°, in order of rising 2θ:
2θ (°)  Rel. int.
36.28  508
36.50  1000
52.16  91
52.32  90
52.91  87
65.35  185
65.46  185
65.85  181

Crystal structure
Unit cell a=8.5531 b=8.5531 c=4.9548 alpha=106.69 beta=106.69 gamma=47.74
Fractional positions:
Dy: 0.0000 0.0000 0.0000
Dy: 0.1666 0.1666 0.6667
Dy: 0.3334 0.3334 0.3335
Dy: 0.6666 0.6666 0.6665
Dy: 0.8334 0.8334 0.3333
Er: 0.5000 0.5000 0.0000
Pt: 0.0858 0.5836 0.8346
Pt: 0.2522 0.7478 0.5000
Pt: 0.4164 0.9142 0.1654
Pt: 0.5836 0.0858 0.8346
Pt: 0.7478 0.2522 0.5000
Pt: 0.9142 0.4164 0.1654

---

5.
For LiNdGaGe2, a structure optimized by DFT (GGA-PBE) gives the simulated powder XRD pattern in this record (CuKα).
Kinematic intensities with the Lorentz-polarization factor, no thermal factor.

Most intense lines, 2θ = 10–80°, in order of rising 2θ:
2θ (°)  Rel. int.
22.72  239
30.38  495
31.69  1000
34.21  958
43.49  550
44.94  620
54.81  419
64.32  419

Crystal structure
Unit cell a=6.4724 b=6.4724 c=6.4724 alpha=142.50 beta=142.50 gamma=54.08
Fractional positions:
Li: 0.0000 0.0000 0.0000
Nd: 0.2500 0.7500 0.5000
Ga: 0.5000 0.5000 0.0000
Ge: 0.6390 0.1390 0.5000
Ge: 0.8610 0.3610 0.5000

---

6.
For MgTcSnH, a structure optimized by DFT (GGA-PBE) gives the simulated powder XRD pattern in this record (CuKα).
Kinematic intensities with the Lorentz-polarization factor, no thermal factor.

Most intense lines, 2θ = 10–80°, in order of rising 2θ:
2θ (°)  Rel. int.
21.64  418
22.06  384
29.17  1000
37.41  542
39.73  386
40.25  741
40.45  375
40.73  700

Crystal structure
Unit cell a=4.7711 b=4.7711 c=4.8084 alpha=119.15 beta=119.15 gamma=41.00
Fractional positions:
Mg: 0.0000 0.0000 0.0000
Tc: 0.1929 0.1929 0.6889
Sn: 0.3947 0.3947 0.3950
H: 0.7395 0.7395 0.8620